Record 1
Computed X-ray diffraction stick pattern
Compound: P2PbAu2
Radiation: Cu Ka
Structure: a DFT-relaxed cell (GGA-PBE, the Materials Project)
Lines closer than 0.1° are merged.

Atomic structure:
a b c (Å): 3.2998 11.5657 11.3819
angles (deg): 90.00 90.00 90.00
Space group Cmcm (No. 63)
Unique sites:
1 P 0.0000 0.2016 0.0435 (multiplicity 8)
2 Pb 0.0000 0.4771 0.2500 (multiplicity 4)
3 Au 0.0000 0.0000 0.0000 (multiplicity 4)
4 Au 0.0000 0.2239 0.2500 (multiplicity 4)

The 6 most intense peaks (2θ from 15° to 90°), in order of rising 2θ:
h k l	d [Å]	Rel. int.
1 1 1	3.057	51
0 4 0	2.891	57
0 0 4	2.845	72
1 1 2	2.771	100
1 3 2	2.295	85
0 4 4	2.028	40

Record 2
Computed X-ray diffraction stick pattern
Compound: Pa3O
Radiation: Cu Ka
Structure: a DFT-relaxed cell (GGA-PBE, the Materials Project)
Lines closer than 0.1° are merged.

Atomic structure:
a b c (Å): 6.1404 6.1404 4.8212
angles (deg): 90.00 90.00 120.00
Space group P6_3/mmc (No. 194)
Unique sites:
1 Pa 0.1720 0.3440 0.2500 (multiplicity 6)
2 O 0.3333 0.6667 0.7500 (multiplicity 2)

The 6 most intense peaks (2θ from 15° to 90°), in order of rising 2θ:
h k l	d [Å]	Rel. int.
1 0 1	3.572	33
2 0 0	2.659	24
0 0 2	2.411	25
2 0 1	2.328	100
2 0 3	1.375	19
2 2 2	1.295	21

Record 3
Computed X-ray diffraction stick pattern
Compound: PrCuSb2
Radiation: Cu Ka
Structure: a DFT-relaxed cell (GGA-PBE, the Materials Project)
Lines closer than 0.1° are merged.

Atomic structure:
a b c (Å): 4.3830 4.3830 10.2241
angles (deg): 90.00 90.00 90.00
Space group P4/nmm (No. 129, origin choice 2)
Unique sites:
1 Pr 0.2500 0.2500 0.2500 (multiplicity 2)
2 Cu 0.2500 0.7500 0.0000 (multiplicity 2)
3 Sb 0.2500 0.2500 0.8474 (multiplicity 2)
4 Sb 0.2500 0.7500 0.5000 (multiplicity 2)

The 6 most intense peaks (2θ from 15° to 90°), in order of rising 2θ:
h k l	d [Å]	Rel. int.
1 0 2	3.327	17
1 0 3	2.690	23
1 1 2	2.650	100
2 0 0	2.192	43
1 0 5	1.853	17
3 1 2	1.338	23

Record 4
Computed X-ray diffraction stick pattern
Compound: MgNbBi3O7
Radiation: Cu Ka
Structure: a DFT-relaxed cell (GGA-PBE, the Materials Project)
Lines closer than 0.1° are merged.

Atomic structure:
a b c (Å): 6.4209 3.6440 15.7779
angles (deg): 90.00 90.46 90.00
Space group Cm (No. 8)
Unique sites:
1 Mg 0.0000 0.0000 0.0000 (multiplicity 2)
2 Nb 0.3722 0.0000 0.3944 (multiplicity 2)
3 Bi 0.0058 0.0000 0.5923 (multiplicity 2)
4 Bi 0.1667 0.5000 0.1965 (multiplicity 2)
5 Bi 0.1708 0.5000 0.8184 (multiplicity 2)
6 O 0.0011 0.0000 0.4309 (multiplicity 2)
7 O 0.1674 0.5000 0.9727 (multiplicity 2)
8 O 0.1719 0.5000 0.3609 (multiplicity 2)
9 O 0.1738 0.5000 0.6678 (multiplicity 2)
10 O 0.3350 0.0000 0.5248 (multiplicity 2)
11 O 0.3391 0.0000 0.2660 (multiplicity 2)
12 O 0.4985 0.5000 0.1253 (multiplicity 2)

The 6 most intense peaks (2θ from 15° to 90°), in order of rising 2θ:
h k l	d [Å]	Rel. int.
0 0 5	3.154	92
1 1 1	3.105	52
2 0 -2	2.982	44
1 1 2	2.938	100
1 1 -3	2.719	62
3 1 0	1.845	43

Record 5
Computed X-ray diffraction stick pattern
Compound: Mn2In2Se5
Radiation: Cu Ka
Structure: a DFT-relaxed cell (GGA-PBE, the Materials Project)
Lines closer than 0.1° are merged.

Atomic structure:
a b c (Å): 4.0658 4.0658 49.1763
angles (deg): 90.00 90.00 120.00
Space group R-3m (No. 166, hexagonal axes)
Unique sites:
1 Mn 0.0000 0.0000 0.1989 (multiplicity 6)
2 In 0.0000 0.0000 0.0560 (multiplicity 6)
3 Se 0.0000 0.0000 0.1082 (multiplicity 6)
4 Se 0.0000 0.0000 0.3638 (multiplicity 6)
5 Se 0.0000 0.0000 0.5000 (multiplicity 3)

The 6 most intense peaks (2θ from 15° to 90°), in order of rising 2θ:
h k l	d [Å]	Rel. int.
1 0 7	3.148	100
1 0 13	2.577	31
1 0 16	2.315	22
1 0 19	2.085	25
1 1 0	2.033	64
0 1 23	1.828	21

Record 6
Computed X-ray diffraction stick pattern
Compound: Sr4BiP3O13
Radiation: Cu Ka
Structure: a DFT-relaxed cell (GGA-PBE, the Materials Project)
Lines closer than 0.1° are merged.

Atomic structure:
a b c (Å): 9.7666 7.3479 9.8984
angles (deg): 90.00 119.56 90.00
Space group P2_1/m (No. 11)
Unique sites:
1 Sr 0.0065 0.2500 0.2366 (multiplicity 2)
2 Sr 0.2377 0.2500 0.9892 (multiplicity 2)
3 Sr 0.3417 0.0012 0.6728 (multiplicity 4)
4 Bi 0.2246 0.7500 0.2317 (multiplicity 2)
5 P 0.0319 0.7500 0.4014 (multiplicity 2)
6 P 0.3700 0.7500 0.9665 (multiplicity 2)
7 P 0.3958 0.2500 0.3681 (multiplicity 2)
8 O 0.0183 0.7500 0.0219 (multiplicity 2)
9 O 0.0879 0.5813 0.3431 (multiplicity 4)
10 O 0.1189 0.7500 0.5812 (multiplicity 2)
11 O 0.1485 0.2500 0.6693 (multiplicity 2)
12 O 0.2637 0.5778 0.9147 (multiplicity 4)
13 O 0.3303 0.2500 0.4826 (multiplicity 2)
14 O 0.3367 0.0789 0.2598 (multiplicity 4)
15 O 0.4209 0.7500 0.5457 (multiplicity 2)
16 O 0.4660 0.7500 0.8787 (multiplicity 2)
17 O 0.4834 0.7500 0.1454 (multiplicity 2)

The 6 most intense peaks (2θ from 15° to 90°), in order of rising 2θ:
h k l	d [Å]	Rel. int.
0 2 0	3.674	33
1 2 -1	3.374	46
1 1 2	2.971	42
1 2 1	2.953	100
3 1 -2	2.933	61
0 4 0	1.838	38